[1]
The following is a computed X-ray diffraction stick pattern of Li7Mn4CoO12. It was derived from the PBE+U geometry in Alexandria, using Cu Ka.
No peak broadening, texture or thermal motion is included.

Main lines, low angle first (2θ = 10–80°):
2θ/deg  I/Imax
18.38  100
34.72  16
36.26  23
42.07  33
44.07  57
47.51  12
58.09  10
62.32  15
62.79  16
64.80  8

Cell and atoms:
```
Li7Mn4CoO12
1.0
6.5956 -1.4388 0.0000
6.5956 1.4388 0.0000
-2.5020 0.0000 11.4738
Li Mn Co O
7 4 1 12
Direct
0.0000 0.0000 0.0000
0.0029 0.0029 0.2439
0.3371 0.3371 0.5823
0.3389 0.3389 0.0815
0.6611 0.6611 0.9185
0.6629 0.6629 0.4177
0.9971 0.9971 0.7561
0.3313 0.3313 0.3314
0.3453 0.3453 0.8391
0.6547 0.6547 0.1609
0.6687 0.6687 0.6686
0.0000 0.0000 0.5000
0.1615 0.1615 0.2762
0.1668 0.1668 0.0542
0.1701 0.1701 0.5546
0.1773 0.1773 0.7856
0.4873 0.4873 0.8706
0.4977 0.4977 0.6097
0.5023 0.5023 0.3903
0.5127 0.5127 0.1294
0.8227 0.8227 0.2144
0.8299 0.8299 0.4454
0.8332 0.8332 0.9458
0.8385 0.8385 0.7238
```



[2]
The following is a computed X-ray diffraction stick pattern of Li6Mn3CoO10. It was derived from the PBE+U geometry in Alexandria, using Cu Ka.
No peak broadening, texture or thermal motion is included.

Main lines, low angle first (2θ = 10–80°):
2θ/deg  I/Imax
18.23  100
18.65  10
27.44  8
34.46  17
36.26  26
41.36  27
44.13  61
58.08  9
61.97  12
62.18  13

Cell and atoms:
```
Li6Mn3CoO10
1.0
4.9052 -1.4414 0.0000
4.9052 1.4414 0.0000
-3.2630 0.0000 13.0031
Li Mn Co O
6 3 1 10
Direct
0.0000 0.0000 0.0000
0.1895 0.1895 0.3971
0.4111 0.4111 0.7630
0.5057 0.5057 0.4840
0.6043 0.6043 0.2041
0.8048 0.8048 0.5663
0.1169 0.1169 0.6717
0.2960 0.2960 0.0928
0.7046 0.7046 0.8828
0.8995 0.8995 0.3098
0.0734 0.0734 0.8245
0.1588 0.1588 0.5482
0.2593 0.2593 0.2216
0.3354 0.3354 0.9460
0.4836 0.4836 0.6373
0.5402 0.5402 0.3324
0.6599 0.6599 0.0410
0.7524 0.7524 0.7296
0.8457 0.8457 0.4271
0.9288 0.9288 0.1288
```



[3]
The following is a computed X-ray diffraction stick pattern of Li4MnCo2O7. It was derived from the PBE+U geometry in Alexandria, using Cu Ka.
No peak broadening, texture or thermal motion is included.

Main lines, low angle first (2θ = 10–80°):
2θ/deg  I/Imax
18.58  100
36.46  12
36.71  24
38.27  10
44.02  26
44.45  51
48.37  8
58.54  10
63.94  13
64.74  13

Cell and atoms:
```
Li4MnCo2O7
1.0
14.4961 -1.4333 0.0000
14.4961 1.4333 0.0000
-0.6704 0.0000 5.7599
Li Mn Co O
8 2 4 14
Direct
0.0000 0.0000 0.0000
0.0005 0.0005 0.4944
0.1390 0.1390 0.0608
0.2833 0.2833 0.6376
0.4324 0.4324 0.2073
0.5637 0.5637 0.7870
0.7061 0.7061 0.3449
0.8589 0.8589 0.9326
0.2834 0.2834 0.1376
0.4306 0.4306 0.7154
0.1392 0.1392 0.5648
0.5677 0.5677 0.2768
0.7088 0.7088 0.8498
0.8579 0.8579 0.4242
0.0702 0.0702 0.0621
0.0727 0.0727 0.5078
0.2070 0.2070 0.6205
0.2085 0.2085 0.0781
0.3588 0.3588 0.1988
0.3595 0.3595 0.6539
0.4936 0.4936 0.7389
0.5057 0.5057 0.2530
0.6356 0.6356 0.3397
0.6424 0.6424 0.7904
0.7784 0.7784 0.9010
0.7890 0.7890 0.3745
0.9247 0.9247 0.4801
0.9279 0.9279 0.9353
```



[4]
The following is a computed X-ray diffraction stick pattern of Li5Mn2CoO8. It was derived from the PBE+U geometry in Alexandria, using Cu Ka.
No peak broadening, texture or thermal motion is included.

Main lines, low angle first (2θ = 10–80°):
2θ/deg  I/Imax
10.67  17
14.90  13
18.30  100
18.43  11
26.31  12
35.95  12
36.13  27
43.62  90
63.23  15
63.60  14

Cell and atoms:
```
Li5Mn2CoO8
1.0
5.9454 0.0000 0.0000
0.0000 2.9018 0.0000
-0.0624 0.0000 8.2886
Li Mn Co O
5 2 1 8
Direct
0.0000 0.0000 0.0000
0.0105 0.0000 0.4863
0.2410 0.5000 0.2564
0.5011 0.0000 0.4876
0.7650 0.5000 0.7199
0.2508 0.5000 0.7312
0.5073 0.0000 0.9932
0.7698 0.5000 0.2693
0.0370 0.0000 0.7485
0.2562 0.5000 0.5142
0.2843 0.5000 0.9809
0.4790 0.0000 0.7515
0.5168 0.0000 0.2186
0.7228 0.5000 0.9819
0.7487 0.5000 0.4833
0.9922 0.0000 0.2348
```



[5]
The following is a computed X-ray diffraction stick pattern of Li7Mn2Co3O12. It was derived from the PBE+U geometry in Alexandria, using Cu Ka.
No peak broadening, texture or thermal motion is included.

Main lines, low angle first (2θ = 10–80°):
2θ/deg  I/Imax
10.28  14
18.45  100
35.44  15
36.55  26
42.65  30
44.41  54
47.73  9
58.49  10
63.07  15
63.47  15

Cell and atoms:
```
Li7Mn2Co3O12
1.0
5.1187 0.0000 0.0000
0.0000 8.6034 0.0000
-1.8656 0.0000 4.8080
Li Mn Co O
7 2 3 12
Direct
0.0000 0.0000 0.0000
0.0000 0.1630 0.5000
0.0000 0.5000 0.5000
0.0000 0.8370 0.5000
0.5000 0.0000 0.5000
0.5000 0.3286 0.5000
0.5000 0.6714 0.5000
0.5000 0.1669 0.0000
0.5000 0.8331 0.0000
0.0000 0.3316 0.0000
0.0000 0.6684 0.0000
0.5000 0.5000 0.0000
0.2384 0.5000 0.2125
0.2529 0.1762 0.2119
0.2529 0.8238 0.2119
0.2675 0.3269 0.7596
0.2675 0.6731 0.7596
0.2834 0.0000 0.7655
0.7166 0.0000 0.2345
0.7325 0.3269 0.2404
0.7325 0.6731 0.2404
0.7471 0.1762 0.7881
0.7471 0.8238 0.7881
0.7616 0.5000 0.7875
```



[6]
The following is a computed X-ray diffraction stick pattern of Li5Mn2CoO8. It was derived from the PBE+U geometry in Alexandria, using Cu Ka.
No peak broadening, texture or thermal motion is included.

Main lines, low angle first (2θ = 10–80°):
2θ/deg  I/Imax
15.37  15
18.54  100
24.38  12
36.53  36
44.19  90
48.30  10
58.21  14
63.88  24
64.66  24
67.91  14

Cell and atoms:
```
Li5Mn2CoO8
1.0
4.9939 -5.7663 0.0000
4.9939 5.7663 0.0000
-1.6643 0.0000 4.7856
Li Mn Co O
10 4 2 16
Direct
0.0000 0.0000 0.0000
0.1211 0.3780 0.0019
0.2492 0.7505 0.0000
0.3780 0.1211 0.0019
0.4993 0.4993 0.0003
0.4990 0.9994 0.4990
0.6205 0.8795 0.9972
0.7505 0.2492 0.0000
0.8795 0.6205 0.9972
0.9994 0.4990 0.4990
0.1291 0.8748 0.4977
0.3703 0.6240 0.5020
0.6240 0.3703 0.5020
0.8748 0.1291 0.4977
0.2498 0.2498 0.4980
0.7489 0.7489 0.5005
0.9998 0.7571 0.7228
0.0061 0.2437 0.2771
0.1216 0.1216 0.7170
0.1396 0.6404 0.2713
0.2437 0.0061 0.2771
0.2576 0.4945 0.7188
0.3601 0.8591 0.7289
0.3775 0.3775 0.2803
0.4945 0.2576 0.7188
0.4976 0.7389 0.2784
0.6137 0.6137 0.7272
0.6404 0.1396 0.2713
0.7389 0.4976 0.2784
0.7571 0.9998 0.7228
0.8591 0.3601 0.7289
0.8849 0.8849 0.2725
```



[7]
The following is a computed X-ray diffraction stick pattern of Li7Mn2Co3O12. It was derived from the PBE+U geometry in Alexandria, using Cu Ka.
No peak broadening, texture or thermal motion is included.

Main lines, low angle first (2θ = 10–80°):
2θ/deg  I/Imax
15.52  9
18.48  100
35.34  17
36.74  23
42.51  31
44.62  53
47.84  9
63.16  15
63.49  15
65.53  7

Cell and atoms:
```
Li7Mn2Co3O12
1.0
5.8657 0.0000 0.0000
0.2702 5.8927 0.0000
1.4820 1.5600 6.0906
Li Mn Co O
7 2 3 12
Direct
0.0000 0.0000 0.0000
0.0016 0.4995 0.0065
0.1555 0.1570 0.3305
0.3225 0.8426 0.6844
0.5017 0.5079 0.0008
0.6738 0.1726 0.3188
0.8353 0.8389 0.6769
0.6680 0.6779 0.3376
0.8339 0.3305 0.6755
0.1644 0.6723 0.3308
0.3288 0.3285 0.6752
0.4993 0.0033 0.0075
0.0726 0.1027 0.6604
0.0787 0.5581 0.6559
0.2460 0.7478 0.0259
0.2734 0.2414 0.9852
0.4191 0.4499 0.3569
0.4318 0.9173 0.3333
0.5884 0.1111 0.6821
0.5982 0.5824 0.6559
0.7262 0.7657 0.0237
0.7587 0.2628 0.9809
0.8917 0.4242 0.3490
0.9092 0.8864 0.3383
```



[8]
The following is a computed X-ray diffraction stick pattern of Li7Mn2Co3O12. It was derived from the PBE+U geometry in Alexandria, using Cu Ka.
No peak broadening, texture or thermal motion is included.

Main lines, low angle first (2θ = 10–80°):
2θ/deg  I/Imax
18.26  100
35.58  28
36.42  12
42.82  59
44.56  25
47.87  8
56.43  10
63.36  14
63.66  15
66.03  9

Cell and atoms:
```
Li7Mn2Co3O12
1.0
7.5714 -1.4798 0.0000
7.5714 1.4798 0.0000
-2.9504 0.0000 9.7161
Li Mn Co O
7 2 3 12
Direct
0.0000 0.0000 0.0000
0.1697 0.1697 0.2440
0.1781 0.1781 0.7788
0.4945 0.4945 0.2270
0.5015 0.5015 0.7739
0.8265 0.8265 0.2376
0.8412 0.8412 0.7702
0.0018 0.0018 0.5044
0.6715 0.6715 0.5053
0.3374 0.3374 0.5077
0.3435 0.3435 0.0073
0.6635 0.6635 0.0062
0.0924 0.0924 0.8896
0.0948 0.0948 0.3989
0.2376 0.2376 0.6193
0.2505 0.2505 0.1184
0.4078 0.4078 0.8816
0.4360 0.4360 0.3943
0.5781 0.5781 0.6081
0.5957 0.5957 0.1204
0.7474 0.7474 0.8985
0.7514 0.7514 0.3938
0.9142 0.9142 0.1262
0.9241 0.9241 0.6192
```